(1)
Structure and calculated X-ray powder pattern of Li4Mn3O7 (a DFT-relaxed cell (GGA+U, the Materials Project); λ = 1.5418 Å (Cu Kα)).
Peak positions follow from Bragg's law for the DFT cell and can differ from measured ones.

The 6 most intense peaks (2θ = 10–90°), by intensity:
2θ (°)	intensity	index
18.30	100.0	1 0 -1
40.67	34.3	2 -1 1
44.07	27.2	1 3 -3
44.39	26.9	-1 2 2
36.19	23.1	0 3 -2
33.86	17.5	1 -1 2

Crystal structure
```
data_Li4Mn3O7
_space_group_name_H-M_alt 'P -1'
_space_group_IT_number 2
_cell_length_a 5.2845
_cell_length_b 7.6710
_cell_length_c 7.7689
_cell_angle_alpha 116.17
_cell_angle_beta 105.81
_cell_angle_gamma 97.36
loop_
_space_group_symop_operation_xyz
'x,y,z'
'-x,-y,-z'
loop_
_atom_site_label
_atom_site_type_symbol
_atom_site_fract_x
_atom_site_fract_y
_atom_site_fract_z
_atom_site_occupancy
Li1 Li 0.0000 0.0000 0.0000 1
Li2 Li 0.0000 0.5000 0.5000 1
Li3 Li 0.1437 0.4318 0.1596 1
Li4 Li 0.2971 0.8563 0.2938 1
Li5 Li 0.4498 0.2958 0.4410 1
Mn1 Mn 0.1517 0.9247 0.6410 1
Mn2 Mn 0.2774 0.3593 0.7793 1
Mn3 Mn 0.4212 0.7838 0.9228 1
O1 O 0.0563 0.7633 0.7630 1
O2 O 0.1438 0.6934 0.4023 1
O3 O 0.1959 0.1821 0.8964 1
O4 O 0.2786 0.6077 0.0111 1
O5 O 0.2834 0.1138 0.5488 1
O6 O 0.4195 0.0318 0.1568 1
O7 O 0.4387 0.5452 0.6991 1
```

(2)
Structure and calculated X-ray powder pattern of Li4Mn3O7 (a DFT-relaxed cell (GGA+U, the Materials Project); λ = 1.5418 Å (Cu Kα)).
Peak positions follow from Bragg's law for the DFT cell and can differ from measured ones.

The 6 most intense peaks (2θ = 10–90°), by intensity:
2θ (°)	intensity	index
18.24	100.0	0 1 1
40.67	35.9	1 -1 2
44.11	27.6	0 1 8
44.43	27.5	1 2 -2
33.96	18.0	1 0 3
36.51	12.1	1 1 -3

Crystal structure
```
data_Li4Mn3O7
_space_group_name_H-M_alt 'P -1'
_space_group_IT_number 2
_cell_length_a 3.0003
_cell_length_b 5.1030
_cell_length_c 17.5081
_cell_angle_alpha 85.21
_cell_angle_beta 87.38
_cell_angle_gamma 76.91
loop_
_space_group_symop_operation_xyz
'x,y,z'
'-x,-y,-z'
loop_
_atom_site_label
_atom_site_type_symbol
_atom_site_fract_x
_atom_site_fract_y
_atom_site_fract_z
_atom_site_occupancy
Li1 Li 0.0000 0.0000 0.0000 1
Li2 Li 0.0000 0.0000 0.5000 1
Li3 Li 0.1281 0.7270 0.2856 1
Li4 Li 0.2570 0.4404 0.5621 1
Li5 Li 0.4275 0.1440 0.8568 1
Mn1 Mn 0.1294 0.7221 0.7842 1
Mn2 Mn 0.2868 0.4278 0.0721 1
Mn3 Mn 0.4325 0.1424 0.3627 1
O1 O 0.0209 0.9020 0.3879 1
O2 O 0.0428 0.8461 0.8887 1
O3 O 0.1639 0.6102 0.6782 1
O4 O 0.1921 0.5562 0.1764 1
O5 O 0.3505 0.2882 0.4550 1
O6 O 0.3856 0.2982 0.9681 1
O7 O 0.4698 0.9879 0.7454 1
```

(3)
Structure and calculated X-ray powder pattern of Li3MnO3 (a DFT-relaxed cell (GGA+U, the Materials Project); λ = 1.5418 Å (Cu Kα)).
Peak positions follow from Bragg's law for the DFT cell and can differ from measured ones.

The 6 most intense peaks (2θ = 10–90°), by intensity:
2θ (°)	intensity	index
27.04	100.0	1 0 1
13.71	51.3	1 1 0
39.46	43.5	4 0 0
21.76	38.6	2 1 0
56.72	35.1	5 0 1
28.78	33.4	1 1 1

Crystal structure
```
data_Li3MnO3
_space_group_name_H-M_alt 'P 42/m n m'
_space_group_IT_number 136
_space_group_name_Hall '-P 4n 2n'
_cell_length_a 9.1340
_cell_length_b 9.1340
_cell_length_c 3.5360
_cell_angle_alpha 90.00
_cell_angle_beta 90.00
_cell_angle_gamma 90.00
loop_
_atom_site_label
_atom_site_type_symbol
_atom_site_fract_x
_atom_site_fract_y
_atom_site_fract_z
_atom_site_occupancy
Li1 Li 0.0937 0.3545 0.0000 1
Li2 Li 0.1739 0.1739 0.5000 1
Mn1 Mn 0.1146 0.8854 0.0000 1
O1 O 0.1012 0.1012 0.0000 1
O2 O 0.1129 0.6793 0.0000 1
```